For K3Tl7Cd2, a crystal structure in Alexandria, relaxed with GGA-PBE gives the simulated X-ray powder pattern in this record (Cu Ka).

Structure:
Cell: 6.7397 6.7397 30.8801 Å, 90.00 90.00 120.00°
Space group R-3m (No. 166, hexagonal axes)
Inequivalent atoms, fractional coordinates:
K: 0.0000 0.0000 0.0000 x3
K: 0.0000 0.0000 0.1415 x6
Tl: 0.0000 0.0000 0.5000 x3
Tl: 0.0068 0.5034 0.9191 x18
Cd: 0.0000 0.0000 0.3358 x6

Principal peaks in the range 2θ = 10–90°, sorted by position:
2θ = 15.4°, intensity 100; 2θ = 17.2°, intensity 38; 2θ = 30.8°, intensity 43; 2θ = 31.7°, intensity 99; 2θ = 34.0°, intensity 79; 2θ = 34.9°, intensity 40; 2θ = 36.9°, intensity 67; 2θ = 54.5°, intensity 39